(1)
This entry pairs a crystal structure of AgSbC2N2Cl2F6 with its simulated powder XRD pattern. Radiation: Cu Ka. Structure: a structure optimized by DFT (PBE).
No peak broadening, texture or thermal motion is included.

Largest 6 diffraction maxima, by angle, 15 to 90 degrees two-theta:
d_spacing  2theta  I (rel.)  h k l
5.786  15.31  68  1 0 0
4.759  18.65  56  1 0 -2
3.728  23.87  53  0 0 2
3.623  24.57  100  2 0 -2
3.407  26.16  100  1 2 0
3.155  28.29  76  1 2 -2

Structural model:
abc: 7.386 8.430 9.518
angles: 90.00 128.43 90.00
Fractional positions:
Ag: 0.000 0.000 0.000
Ag: 0.000 0.000 0.500
Sb: 0.000 0.500 0.000
Sb: 0.000 0.500 0.500
C: 0.387 0.161 0.375
C: 0.387 0.839 0.875
C: 0.613 0.161 0.125
C: 0.613 0.839 0.625
N: 0.284 0.089 0.242
N: 0.284 0.911 0.742
N: 0.716 0.089 0.258
N: 0.716 0.911 0.758
Cl: 0.461 0.248 0.936
Cl: 0.461 0.752 0.436
Cl: 0.539 0.248 0.564
Cl: 0.539 0.752 0.064
F: 0.104 0.288 0.597
F: 0.104 0.712 0.097
F: 0.155 0.423 0.236
F: 0.155 0.577 0.736
F: 0.285 0.463 0.044
F: 0.285 0.537 0.544
F: 0.715 0.463 0.456
F: 0.715 0.537 0.956
F: 0.845 0.423 0.264
F: 0.845 0.577 0.764
F: 0.896 0.288 0.903
F: 0.896 0.712 0.403

(2)
This entry pairs a crystal structure of CoAg3C6N6 with its simulated powder XRD pattern. Radiation: Cu Ka. Structure: a structure optimized by DFT (PBE).
No peak broadening, texture or thermal motion is included.

Largest 6 diffraction maxima, by angle, 15 to 90 degrees two-theta:
d_spacing  2theta  I (rel.)  h k l
4.586  19.35  100  1 0 1
3.093  28.86  42  2 -1 1
2.963  30.16  65  2 0 0
2.742  32.65  57  2 0 1
2.293  39.29  66  2 0 2
1.546  59.82  41  4 -2 2

Structural model:
abc: 6.843 6.843 7.242
angles: 90.00 90.00 120.00
Fractional positions:
Co: 0.000 0.000 0.000
Ag: 0.000 0.500 0.500
Ag: 0.500 0.000 0.500
Ag: 0.500 0.500 0.500
C: 0.000 0.218 0.153
C: 0.000 0.782 0.847
C: 0.218 0.000 0.153
C: 0.218 0.218 0.847
C: 0.782 0.000 0.847
C: 0.782 0.782 0.153
N: 0.000 0.345 0.261
N: 0.000 0.655 0.739
N: 0.345 0.000 0.261
N: 0.345 0.345 0.739
N: 0.655 0.000 0.739
N: 0.655 0.655 0.261